[1]
# Bi6PtRh2
Calculated powder diffractogram, Cu Kα (weighted mean of Kα1 and Kα2). Input: a crystal structure in Alexandria, relaxed with PBE.

```
Bi6PtRh2
1.0
11.9219 0.0000 0.0000
-5.9609 10.3246 0.0000
0.0000 0.0000 5.9669
Bi Pt Rh
18 3 6
direct
0.0997 0.5498 0.2012
0.1191 0.2382 0.2578
0.1191 0.8809 0.2578
0.2133 0.4266 0.7552
0.2133 0.7867 0.7552
0.2382 0.1191 0.7422
0.4266 0.2133 0.2448
0.4502 0.5498 0.2012
0.4502 0.9003 0.2012
0.5498 0.0997 0.7988
0.5498 0.4502 0.7988
0.5734 0.7867 0.7552
0.7618 0.8809 0.2578
0.7867 0.2133 0.2448
0.7867 0.5734 0.2448
0.8809 0.1191 0.7422
0.8809 0.7618 0.7422
0.9003 0.4502 0.7988
0.0000 0.0000 0.5000
0.3333 0.6667 0.9723
0.6667 0.3333 0.0277
0.0000 0.3551 0.5000
0.0000 0.6449 0.5000
0.3551 0.0000 0.5000
0.3551 0.3551 0.5000
0.6449 0.0000 0.5000
0.6449 0.6449 0.5000
```

Main lines, low angle first (15° ≤ 2θ ≤ 90°):
2θ (°)  I (rel.)
29.97  1000
39.99  358
45.66  312
53.19  141
55.58  226
80.54  167

=====

[2]
# LiCu5Br12
Calculated powder diffractogram, Cu Kα (weighted mean of Kα1 and Kα2). Input: a crystal structure in Alexandria, relaxed with PBE.

```
LiCu5Br12
1.0
3.9243 -5.2457 0.0000
3.9243 5.2457 0.0000
-0.3996 0.0000 13.4424
Li Cu Br
1 5 12
direct
0.0000 0.0000 0.0000
0.1671 0.8329 0.5000
0.3300 0.6700 0.0000
0.5000 0.5000 0.5000
0.6700 0.3300 0.0000
0.8329 0.1671 0.5000
0.0664 0.7089 0.8856
0.0895 0.0895 0.3885
0.2417 0.5737 0.6106
0.2911 0.9336 0.1144
0.3941 0.3941 0.8947
0.4263 0.7583 0.3894
0.5737 0.2417 0.6106
0.6059 0.6059 0.1053
0.7089 0.0664 0.8856
0.7583 0.4263 0.3894
0.9105 0.9105 0.6115
0.9336 0.2911 0.1144
```

Main lines, low angle first (15° ≤ 2θ ≤ 90°):
2θ (°)  I (rel.)
22.67  835
23.82  1000
30.85  708
34.69  806
43.75  840
44.30  749

=====

[3]
# NaSm2PtO5
Calculated powder diffractogram, Cu Kα (weighted mean of Kα1 and Kα2). Input: a crystal structure in Alexandria, relaxed with PBE.

```
NaSm2PtO5
1.0
6.7237 0.0000 0.0000
0.0000 6.7237 0.0000
0.0000 0.0000 5.8429
Na Sm Pt O
2 4 2 10
direct
0.0000 0.0000 0.0000
0.5000 0.5000 0.0000
0.1764 0.3236 0.5000
0.3236 0.8236 0.5000
0.6764 0.1764 0.5000
0.8236 0.6764 0.5000
0.0000 0.5000 0.0000
0.5000 0.0000 0.0000
0.0000 0.0000 0.5000
0.1361 0.6361 0.2560
0.1361 0.6361 0.7440
0.3639 0.1361 0.2560
0.3639 0.1361 0.7440
0.5000 0.5000 0.5000
0.6361 0.8639 0.2560
0.6361 0.8639 0.7440
0.8639 0.3639 0.2560
0.8639 0.3639 0.7440
```

Main lines, low angle first (15° ≤ 2θ ≤ 90°):
2θ (°)  I (rel.)
18.66  483
30.66  1000
33.52  360
37.85  169
43.17  270
45.39  345

=====

[4]
# PdRu2Au
Calculated powder diffractogram, Cu Kα (weighted mean of Kα1 and Kα2). Input: a crystal structure in Alexandria, relaxed with PBE.

```
PdRu2Au
1.0
0.0000 3.1350 3.1350
3.1350 0.0000 3.1350
3.1350 3.1350 0.0000
Pd Ru Au
1 2 1
direct
0.0000 0.0000 0.0000
0.2500 0.2500 0.2500
0.7500 0.7500 0.7500
0.5000 0.5000 0.5000
```

Main lines, low angle first (15° ≤ 2θ ≤ 90°):
2θ (°)  I (rel.)
24.59  72
28.47  48
40.70  1000
58.92  167
74.08  339
88.14  112

=====

[5]
# RbSb4Pb12
Calculated powder diffractogram, Cu Kα (weighted mean of Kα1 and Kα2). Input: a crystal structure in Alexandria, relaxed with PBE.

```
RbSb4Pb12
1.0
-5.3987 5.3987 5.3987
5.3987 -5.3987 5.3987
5.3987 5.3987 -5.3987
Rb Sb Pb
1 4 12
direct
0.0000 0.0000 0.0000
0.0000 0.0000 0.5000
0.0000 0.5000 0.0000
0.5000 0.0000 0.0000
0.5000 0.5000 0.5000
0.1503 0.3540 0.5043
0.1503 0.6460 0.7963
0.2037 0.8497 0.3540
0.3540 0.2037 0.8497
0.3540 0.5043 0.1503
0.4957 0.8497 0.6460
0.5043 0.1503 0.3540
0.6460 0.4957 0.8497
0.6460 0.7963 0.1503
0.7963 0.1503 0.6460
0.8497 0.3540 0.2037
0.8497 0.6460 0.4957
```

Main lines, low angle first (15° ≤ 2θ ≤ 90°):
2θ (°)  I (rel.)
26.10  1000
30.99  286
37.24  267
40.95  173
42.70  450
75.79  182

=====

[6]
# HgI3N2
Calculated powder diffractogram, Cu Kα (weighted mean of Kα1 and Kα2). Input: a crystal structure in Alexandria, relaxed with PBE.

```
HgI3N2
1.0
4.8600 0.0000 0.0000
1.1909 9.0745 0.0000
0.2645 4.1759 8.7997
Hg I N
2 6 4
direct
0.1851 0.2046 0.0786
0.8149 0.7954 0.9214
0.1373 0.5773 0.1740
0.2674 0.1200 0.7409
0.3444 0.7891 0.6421
0.6556 0.2109 0.3579
0.7326 0.8800 0.2591
0.8627 0.4227 0.8260
0.3456 0.3356 0.3979
0.4522 0.0580 0.2894
0.5478 0.9420 0.7106
0.6544 0.6644 0.6021
```

Main lines, low angle first (15° ≤ 2θ ≤ 90°):
2θ (°)  I (rel.)
24.32  1000
25.19  641
27.01  654
28.85  660
30.58  758
33.59  610

=====

[7]
# Rb2CdPH
Calculated powder diffractogram, Cu Kα (weighted mean of Kα1 and Kα2). Input: a crystal structure in Alexandria, relaxed with PBE.

```
Rb2CdPH
1.0
7.3943 0.0000 0.0000
0.0000 4.3863 0.0000
-3.3930 0.0000 9.3443
Rb Cd P H
4 2 2 2
direct
0.1722 0.2500 0.4042
0.2262 0.2500 0.9505
0.7738 0.7500 0.0495
0.8278 0.7500 0.5958
0.4650 0.7500 0.2541
0.5350 0.2500 0.7459
0.3503 0.7500 0.7107
0.6497 0.2500 0.2893
0.1901 0.7500 0.1779
0.8099 0.2500 0.8221
```

Main lines, low angle first (15° ≤ 2θ ≤ 90°):
2θ (°)  I (rel.)
26.22  776
26.37  712
27.87  1000
32.88  353
36.14  399
49.51  680

=====

[8]
# ZnGaPt4
Calculated powder diffractogram, Cu Kα (weighted mean of Kα1 and Kα2). Input: a crystal structure in Alexandria, relaxed with PBE.

```
ZnGaPt4
1.0
7.3643 0.0000 0.0000
0.0000 2.8299 0.0000
0.0000 0.0000 17.5188
Zn Ga Pt
4 4 16
direct
0.2404 0.2500 0.0477
0.2596 0.7500 0.5477
0.7404 0.2500 0.4523
0.7596 0.7500 0.9523
0.2243 0.2500 0.8101
0.2757 0.7500 0.3101
0.7243 0.2500 0.6899
0.7757 0.7500 0.1899
0.0341 0.7500 0.7071
0.0395 0.7500 0.4303
0.1105 0.7500 0.9287
0.1417 0.7500 0.1676
0.3583 0.2500 0.6676
0.3895 0.2500 0.4287
0.4605 0.2500 0.9303
0.4659 0.2500 0.2071
0.5341 0.7500 0.7929
0.5395 0.7500 0.0697
0.6105 0.7500 0.5713
0.6417 0.7500 0.3324
0.8583 0.2500 0.8324
0.8895 0.2500 0.0713
0.9605 0.2500 0.5697
0.9659 0.2500 0.2929
```

Main lines, low angle first (15° ≤ 2θ ≤ 90°):
2θ (°)  I (rel.)
36.98  198
39.85  1000
40.19  319
41.22  265
42.20  375
43.18  267

=====

[9]
# Li3CdHg2
Calculated powder diffractogram, Cu Kα (weighted mean of Kα1 and Kα2). Input: a crystal structure in Alexandria, relaxed with PBE.

```
Li3CdHg2
1.0
3.4048 0.0000 0.0000
0.0000 3.4048 0.0000
0.0000 0.0000 9.5118
Li Cd Hg
3 1 2
direct
0.0000 0.0000 0.0000
0.0000 0.0000 0.3287
0.0000 0.0000 0.6713
0.5000 0.5000 0.5000
0.5000 0.5000 0.1677
0.5000 0.5000 0.8323
```

Main lines, low angle first (15° ≤ 2θ ≤ 90°):
2θ (°)  I (rel.)
26.17  1000
28.14  418
37.35  451
38.81  812
47.41  409
68.34  309

=====

[10]
# Cs2BaS8
Calculated powder diffractogram, Cu Kα (weighted mean of Kα1 and Kα2). Input: a crystal structure in Alexandria, relaxed with PBE.

```
Cs2BaS8
1.0
5.4099 0.0000 0.0000
1.9596 6.7398 0.0000
1.0499 2.9046 10.0448
Cs Ba S
2 1 8
direct
0.1853 0.1784 0.1652
0.8147 0.8216 0.8348
0.0000 0.5000 0.5000
0.0389 0.7074 0.1732
0.1811 0.0008 0.5163
0.4336 0.6262 0.1711
0.4349 0.6027 0.6556
0.5651 0.3973 0.3444
0.5664 0.3738 0.8289
0.8189 0.9992 0.4837
0.9611 0.2926 0.8268
```

Main lines, low angle first (15° ≤ 2θ ≤ 90°):
2θ (°)  I (rel.)
19.08  723
24.92  986
26.48  1000
26.62  963
28.96  644
33.64  619

=====

[11]
# Ba3Zn3Si2
Calculated powder diffractogram, Cu Kα (weighted mean of Kα1 and Kα2). Input: a crystal structure in Alexandria, relaxed with PBE.

```
Ba3Zn3Si2
1.0
2.1925 -6.3183 0.0000
2.1925 6.3183 0.0000
0.0000 0.0000 16.9859
Ba Zn Si
6 6 4
direct
0.0367 0.9633 0.7500
0.3447 0.6553 0.5906
0.3447 0.6553 0.9094
0.6553 0.3447 0.0906
0.6553 0.3447 0.4094
0.9633 0.0367 0.2500
0.0714 0.9286 0.5575
0.0714 0.9286 0.9425
0.2562 0.7438 0.2500
0.7438 0.2562 0.7500
0.9286 0.0714 0.0575
0.9286 0.0714 0.4425
0.3649 0.6351 0.1139
0.3649 0.6351 0.3861
0.6351 0.3649 0.6139
0.6351 0.3649 0.8861
```

Main lines, low angle first (15° ≤ 2θ ≤ 90°):
2θ (°)  I (rel.)
26.66  948
29.40  975
30.15  1000
31.60  634
39.81  475
43.71  507

=====

- Which formula does entry 3 have?
  NaSm2PtO5

=====

What did the seventh record say?
# Rb2CdPH
Calculated powder diffractogram, Cu Kα (weighted mean of Kα1 and Kα2). Input: a crystal structure in Alexandria, relaxed with PBE.

```
Rb2CdPH
1.0
7.3943 0.0000 0.0000
0.0000 4.3863 0.0000
-3.3930 0.0000 9.3443
Rb Cd P H
4 2 2 2
direct
0.1722 0.2500 0.4042
0.2262 0.2500 0.9505
0.7738 0.7500 0.0495
0.8278 0.7500 0.5958
0.4650 0.7500 0.2541
0.5350 0.2500 0.7459
0.3503 0.7500 0.7107
0.6497 0.2500 0.2893
0.1901 0.7500 0.1779
0.8099 0.2500 0.8221
```

Main lines, low angle first (15° ≤ 2θ ≤ 90°):
2θ (°)  I (rel.)
26.22  776
26.37  712
27.87  1000
32.88  353
36.14  399
49.51  680